1.
# MgH6N2Cl2
Computed XRD peak list, λ = 1.5418 Å (Cu Kα). Input: a structure optimized by DFT (GGA-PBE).
Lines closer than 0.1° are merged.

Peak list (10 most intense, 2θ from 10° to 90°, in order of rising 2θ)
5.815 Å, rel. 42
4.109 Å, rel. 28
2.908 Å, rel. 28
2.776 Å, rel. 100
2.599 Å, rel. 14
2.300 Å, rel. 22
2.140 Å, rel. 22
2.056 Å, rel. 22
1.723 Å, rel. 12
1.652 Å, rel. 25

Structure:
Unit cell a=6.9257 b=6.9257 c=6.9257 alpha=114.21 beta=107.22 gamma=107.08
Fractional positions:
Mg1 0.4969 0.2469 0.2500
Mg2 0.5031 0.7531 0.7500
H1 0.0822 0.6533 0.4289
H2 0.1158 0.0658 0.8343
H3 0.1158 0.2816 0.0501
H4 0.2685 0.7184 0.3343
H5 0.2685 0.9342 0.5501
H6 0.2756 0.3467 0.9289
H7 0.7244 0.6533 0.0711
H8 0.7315 0.0658 0.4499
H9 0.7315 0.2816 0.6657
H10 0.8842 0.7184 0.9499
H11 0.8842 0.9342 0.1657
H12 0.9178 0.3467 0.5711
N1 0.2228 0.2363 0.9865
N2 0.2502 0.7637 0.4865
N3 0.7498 0.2363 0.5135
N4 0.7772 0.7637 0.0135
Cl1 0.2848 0.2911 0.5063
Cl2 0.2848 0.7785 0.9937
Cl3 0.7152 0.2215 0.0063
Cl4 0.7152 0.7089 0.4937

2.
# MnH6N2Cl2
Computed XRD peak list, λ = 1.5418 Å (Cu Kα). Input: a structure optimized by DFT (GGA-PBE).
Lines closer than 0.1° are merged.

Peak list (10 most intense, 2θ from 10° to 90°, in order of rising 2θ)
5.861 Å, rel. 100
4.136 Å, rel. 48
2.815 Å, rel. 84
2.616 Å, rel. 22
2.353 Å, rel. 19
2.301 Å, rel. 18
2.176 Å, rel. 16
2.155 Å, rel. 14
2.067 Å, rel. 16
1.685 Å, rel. 14

Structure:
Unit cell a=5.8622 b=5.8622 c=3.8291 alpha=91.31 beta=91.31 gamma=90.23
Fractional positions:
Mn1 0.0000 0.0000 0.0000
H1 0.2256 0.4139 0.1260
H2 0.3556 0.2849 0.8029
H3 0.4003 0.2022 0.2021
H4 0.5861 0.7744 0.8740
H5 0.7151 0.6444 0.1971
H6 0.7978 0.5997 0.7979
N1 0.2748 0.2565 0.0326
N2 0.7435 0.7252 0.9674
Cl1 0.2167 0.7833 0.5000
Cl2 0.7838 0.2162 0.5000

3.
# H2RhN2Cl5O
Computed XRD peak list, λ = 1.5418 Å (Cu Kα). Input: a structure optimized by DFT (GGA-PBE).
Lines closer than 0.1° are merged.

Peak list (10 most intense, 2θ from 10° to 90°, in order of rising 2θ)
5.700 Å, rel. 100
5.585 Å, rel. 98
4.930 Å, rel. 86
4.800 Å, rel. 37
2.995 Å, rel. 22
2.801 Å, rel. 26
2.792 Å, rel. 20
2.465 Å, rel. 31
2.400 Å, rel. 35
2.158 Å, rel. 18

Structure:
Unit cell a=13.7325 b=9.6008 c=7.0839 alpha=90.00 beta=90.00 gamma=90.00
Fractional positions:
H1 0.0302 0.1654 0.0449
H2 0.0302 0.3346 0.0449
H3 0.4698 0.6654 0.5449
H4 0.4698 0.8346 0.5449
H5 0.5302 0.1654 0.4551
H6 0.5302 0.3346 0.4551
H7 0.9698 0.6654 0.9551
H8 0.9698 0.8346 0.9551
Rh1 0.1127 0.7500 0.1991
Rh2 0.3873 0.2500 0.6991
Rh3 0.6127 0.7500 0.3009
Rh4 0.8873 0.2500 0.8009
N1 0.1436 0.0026 0.6595
N2 0.1436 0.4974 0.6595
N3 0.3564 0.5026 0.1595
N4 0.3564 0.9974 0.1595
N5 0.6436 0.0026 0.8405
N6 0.6436 0.4974 0.8405
N7 0.8564 0.5026 0.3405
N8 0.8564 0.9974 0.3405
Cl1 0.0072 0.7500 0.4515
Cl2 0.1083 0.5071 0.1920
Cl3 0.1083 0.9929 0.1920
Cl4 0.2091 0.7500 0.9338
Cl5 0.2429 0.7500 0.3925
Cl6 0.2571 0.2500 0.8925
Cl7 0.2909 0.2500 0.4338
Cl8 0.3917 0.0071 0.6920
Cl9 0.3917 0.4929 0.6920
Cl10 0.4928 0.2500 0.9515
Cl11 0.5072 0.7500 0.0485
Cl12 0.6083 0.5071 0.3080
Cl13 0.6083 0.9929 0.3080
Cl14 0.7091 0.7500 0.5662
Cl15 0.7429 0.7500 0.1075
Cl16 0.7571 0.2500 0.6075
Cl17 0.7909 0.2500 0.0662
Cl18 0.8917 0.0071 0.8080
Cl19 0.8917 0.4929 0.8080
Cl20 0.9928 0.2500 0.5485
O1 0.0168 0.2500 0.9704
O2 0.4832 0.7500 0.4704
O3 0.5168 0.2500 0.5296
O4 0.9832 0.7500 0.0296

4.
# H2RuN2Cl5O
Computed XRD peak list, λ = 1.5418 Å (Cu Kα). Input: a structure optimized by DFT (GGA-PBE).
Lines closer than 0.1° are merged.

Peak list (10 most intense, 2θ from 10° to 90°, in order of rising 2θ)
5.632 Å, rel. 100
5.586 Å, rel. 86
5.134 Å, rel. 51
4.736 Å, rel. 73
2.885 Å, rel. 18
2.675 Å, rel. 22
2.565 Å, rel. 39
2.369 Å, rel. 32
2.256 Å, rel. 19
1.740 Å, rel. 18

Structure:
Unit cell a=13.4742 b=10.2618 c=6.6591 alpha=90.00 beta=90.00 gamma=90.00
Fractional positions:
H1 0.0032 0.2500 0.1512
H2 0.0761 0.2500 0.9565
H3 0.4239 0.7500 0.4565
H4 0.4968 0.7500 0.6512
H5 0.5032 0.2500 0.3488
H6 0.5761 0.2500 0.5435
H7 0.9239 0.7500 0.0435
H8 0.9968 0.7500 0.8488
Ru1 0.1184 0.7500 0.1977
Ru2 0.3816 0.2500 0.6977
Ru3 0.6185 0.7500 0.3023
Ru4 0.8816 0.2500 0.8023
N1 0.1452 0.0012 0.6584
N2 0.1452 0.4988 0.6584
N3 0.3548 0.5012 0.1584
N4 0.3548 0.9988 0.1584
N5 0.6452 0.0012 0.8416
N6 0.6452 0.4988 0.8416
N7 0.8548 0.5012 0.3416
N8 0.8548 0.9988 0.3416
Cl1 0.9997 0.2500 0.5493
Cl2 0.0003 0.7500 0.4507
Cl3 0.1124 0.5263 0.1914
Cl4 0.1124 0.9737 0.1914
Cl5 0.2154 0.7500 0.9178
Cl6 0.2470 0.7500 0.4119
Cl7 0.2530 0.2500 0.9119
Cl8 0.2846 0.2500 0.4178
Cl9 0.3876 0.0263 0.6914
Cl10 0.3876 0.4737 0.6914
Cl11 0.4997 0.2500 0.9507
Cl12 0.5003 0.7500 0.0493
Cl13 0.6124 0.5263 0.3086
Cl14 0.6124 0.9737 0.3086
Cl15 0.7154 0.7500 0.5822
Cl16 0.7470 0.7500 0.0881
Cl17 0.7530 0.2500 0.5881
Cl18 0.7846 0.2500 0.0822
Cl19 0.8876 0.0263 0.8086
Cl20 0.8876 0.4737 0.8086
O1 0.0076 0.2500 0.0044
O2 0.4924 0.7500 0.5044
O3 0.5076 0.2500 0.4956
O4 0.9924 0.7500 0.9956

5.
# H8PdN2Cl6
Computed XRD peak list, λ = 1.5418 Å (Cu Kα). Input: a structure optimized by DFT (GGA-PBE).
Lines closer than 0.1° are merged.

Peak list (10 most intense, 2θ from 10° to 90°, in order of rising 2θ)
5.715 Å, rel. 100
4.987 Å, rel. 24
4.931 Å, rel. 46
3.001 Å, rel. 13
2.977 Å, rel. 28
2.858 Å, rel. 22
2.493 Å, rel. 23
2.466 Å, rel. 44
1.899 Å, rel. 13
1.753 Å, rel. 27

Structure:
Unit cell a=6.9751 b=6.9731 c=12.1651 alpha=90.00 beta=124.93 gamma=90.00
Fractional positions:
H1 0.0920 0.0478 0.1682
H2 0.0920 0.4522 0.6682
H3 0.2421 0.6451 0.7643
H4 0.2421 0.8549 0.2643
H5 0.2888 0.0743 0.3348
H6 0.2888 0.4257 0.8348
H7 0.3807 0.0236 0.2357
H8 0.3807 0.4764 0.7357
H9 0.6193 0.5236 0.2643
H10 0.6193 0.9764 0.7643
H11 0.7112 0.5743 0.1652
H12 0.7112 0.9257 0.6652
H13 0.7579 0.1451 0.7357
H14 0.7579 0.3549 0.2357
H15 0.9080 0.5478 0.3318
H16 0.9080 0.9522 0.8318
Pd1 0.0000 0.0000 0.5000
Pd2 0.0000 0.5000 0.0000
N1 0.2504 0.0004 0.2506
N2 0.2504 0.4996 0.7506
N3 0.7496 0.9996 0.7494
N4 0.7496 0.5004 0.2494
Cl1 0.2250 0.7489 0.9960
Cl2 0.2250 0.7511 0.4960
Cl3 0.2405 0.5054 0.2368
Cl4 0.2405 0.9946 0.7368
Cl5 0.2486 0.2291 0.4998
Cl6 0.2486 0.2709 0.9998
Cl7 0.7514 0.7291 0.0002
Cl8 0.7514 0.7709 0.5002
Cl9 0.7595 0.0054 0.2632
Cl10 0.7595 0.4946 0.7632
Cl11 0.7750 0.2489 0.5040
Cl12 0.7750 0.2511 0.0040

6.
# H8PdN2Cl6
Computed XRD peak list, λ = 1.5418 Å (Cu Kα). Input: a structure optimized by DFT (GGA-PBE).
Lines closer than 0.1° are merged.

Peak list (10 most intense, 2θ from 10° to 90°, in order of rising 2θ)
5.752 Å, rel. 100
4.981 Å, rel. 68
3.004 Å, rel. 40
2.876 Å, rel. 21
2.491 Å, rel. 65
2.228 Å, rel. 35
1.917 Å, rel. 23
1.761 Å, rel. 39
1.684 Å, rel. 21
1.660 Å, rel. 17

Structure:
Unit cell a=7.0449 b=7.0449 c=7.0449 alpha=60.00 beta=60.00 gamma=60.00
Fractional positions:
H1 0.1902 0.1902 0.1902
H2 0.1902 0.1902 0.4295
H3 0.1902 0.4295 0.1902
H4 0.4295 0.1902 0.1902
H5 0.5705 0.8098 0.8098
H6 0.8098 0.5705 0.8098
H7 0.8098 0.8098 0.5705
H8 0.8098 0.8098 0.8098
Pd1 0.5000 0.5000 0.5000
N1 0.2500 0.2500 0.2500
N2 0.7500 0.7500 0.7500
Cl1 0.2637 0.2637 0.7363
Cl2 0.2637 0.7363 0.2637
Cl3 0.2637 0.7363 0.7363
Cl4 0.7363 0.2637 0.2637
Cl5 0.7363 0.2637 0.7363
Cl6 0.7363 0.7363 0.2637

What is the formula in the third record? H2RhN2Cl5O

Number 4 is which compound? H2RuN2Cl5O

What did the fourth record say?
# H2RuN2Cl5O
Computed XRD peak list, λ = 1.5418 Å (Cu Kα). Input: a structure optimized by DFT (GGA-PBE).
Lines closer than 0.1° are merged.

Peak list (10 most intense, 2θ from 10° to 90°, in order of rising 2θ)
5.632 Å, rel. 100
5.586 Å, rel. 86
5.134 Å, rel. 51
4.736 Å, rel. 73
2.885 Å, rel. 18
2.675 Å, rel. 22
2.565 Å, rel. 39
2.369 Å, rel. 32
2.256 Å, rel. 19
1.740 Å, rel. 18

Structure:
Unit cell a=13.4742 b=10.2618 c=6.6591 alpha=90.00 beta=90.00 gamma=90.00
Fractional positions:
H1 0.0032 0.2500 0.1512
H2 0.0761 0.2500 0.9565
H3 0.4239 0.7500 0.4565
H4 0.4968 0.7500 0.6512
H5 0.5032 0.2500 0.3488
H6 0.5761 0.2500 0.5435
H7 0.9239 0.7500 0.0435
H8 0.9968 0.7500 0.8488
Ru1 0.1184 0.7500 0.1977
Ru2 0.3816 0.2500 0.6977
Ru3 0.6185 0.7500 0.3023
Ru4 0.8816 0.2500 0.8023
N1 0.1452 0.0012 0.6584
N2 0.1452 0.4988 0.6584
N3 0.3548 0.5012 0.1584
N4 0.3548 0.9988 0.1584
N5 0.6452 0.0012 0.8416
N6 0.6452 0.4988 0.8416
N7 0.8548 0.5012 0.3416
N8 0.8548 0.9988 0.3416
Cl1 0.9997 0.2500 0.5493
Cl2 0.0003 0.7500 0.4507
Cl3 0.1124 0.5263 0.1914
Cl4 0.1124 0.9737 0.1914
Cl5 0.2154 0.7500 0.9178
Cl6 0.2470 0.7500 0.4119
Cl7 0.2530 0.2500 0.9119
Cl8 0.2846 0.2500 0.4178
Cl9 0.3876 0.0263 0.6914
Cl10 0.3876 0.4737 0.6914
Cl11 0.4997 0.2500 0.9507
Cl12 0.5003 0.7500 0.0493
Cl13 0.6124 0.5263 0.3086
Cl14 0.6124 0.9737 0.3086
Cl15 0.7154 0.7500 0.5822
Cl16 0.7470 0.7500 0.0881
Cl17 0.7530 0.2500 0.5881
Cl18 0.7846 0.2500 0.0822
Cl19 0.8876 0.0263 0.8086
Cl20 0.8876 0.4737 0.8086
O1 0.0076 0.2500 0.0044
O2 0.4924 0.7500 0.5044
O3 0.5076 0.2500 0.4956
O4 0.9924 0.7500 0.9956